Diffraction record for AlCu3. The X-ray powder pattern is computed, not measured: it uses a cell relaxed with PBE and Cu Kα (weighted mean of Kα1 and Kα2).
Neutral-atom scattering factors, no anomalous dispersion.

```
AlCu3
1.0
5.8369 0.0000 0.0000
0.0000 5.8369 0.0000
0.0000 0.0000 5.8369
Al Cu
4 12
Direct
0.0000 0.0000 0.0000
0.0000 0.5000 0.5000
0.5000 0.0000 0.5000
0.5000 0.5000 0.0000
0.0000 0.0000 0.5000
0.0000 0.5000 0.0000
0.2500 0.2500 0.2500
0.2500 0.2500 0.7500
0.2500 0.7500 0.2500
0.2500 0.7500 0.7500
0.5000 0.0000 0.0000
0.5000 0.5000 0.5000
0.7500 0.2500 0.2500
0.7500 0.2500 0.7500
0.7500 0.7500 0.2500
0.7500 0.7500 0.7500
```

Main lines, sorted by position (2θ = 10–80°):
3.370 Å, I 8.5
2.918 Å, I 4.4
2.064 Å, I 100.0
1.760 Å, I 3.8
1.685 Å, I 1.1
1.459 Å, I 15.1
1.339 Å, I 1.3
1.305 Å, I 1.2



Diffraction record for Sc2Mn12GaGe11. The X-ray powder pattern is computed, not measured: it uses a cell relaxed with PBE and Cu Kα (weighted mean of Kα1 and Kα2).
Neutral-atom scattering factors, no anomalous dispersion.

```
Sc2Mn12GaGe11
1.0
5.1265 0.0000 0.0000
-2.5633 4.4397 0.0000
0.0000 0.0000 16.2305
Sc Mn Ga Ge
2 12 1 11
Direct
0.0000 0.0000 0.2503
0.0000 0.0000 0.7497
0.0002 0.5001 0.1252
0.9996 0.4998 0.3734
0.9996 0.4998 0.6266
0.0002 0.5001 0.8748
0.4999 0.9998 0.1252
0.5002 0.0004 0.3734
0.5002 0.0004 0.6266
0.4999 0.9998 0.8748
0.4999 0.5001 0.1252
0.5002 0.4998 0.3734
0.5002 0.4998 0.6266
0.4999 0.5001 0.8748
0.3333 0.6667 0.5000
0.0000 0.0000 0.0810
0.0000 0.0000 0.4192
0.0000 0.0000 0.5808
0.0000 0.0000 0.9190
0.3333 0.6667 0.0000
0.3333 0.6667 0.2499
0.3333 0.6667 0.7501
0.6667 0.3333 0.0000
0.6667 0.3333 0.2495
0.6667 0.3333 0.5000
0.6667 0.3333 0.7505
```

Main lines, sorted by position (2θ = 10–80°):
2.563 Å, I 66.0
2.310 Å, I 26.0
2.220 Å, I 42.1
2.167 Å, I 82.7
2.029 Å, I 25.4
1.947 Å, I 100.0
1.845 Å, I 31.3
1.282 Å, I 31.4



Diffraction record for Ce4ZrO10. The X-ray powder pattern is computed, not measured: it uses a cell relaxed with PBE and Cu Kα (weighted mean of Kα1 and Kα2).
Neutral-atom scattering factors, no anomalous dispersion.

```
Ce4ZrO10
1.0
-1.9076 1.9076 13.5472
1.9076 -1.9076 13.5472
1.9076 1.9076 -13.5472
Ce Zr O
4 1 10
Direct
0.0973 0.0973 0.0000
0.3009 0.3009 0.0000
0.6991 0.6991 0.0000
0.9027 0.9027 0.0000
0.5000 0.5000 0.0000
0.0463 0.5463 0.5000
0.1481 0.6481 0.5000
0.2500 0.7500 0.5000
0.3519 0.8519 0.5000
0.4537 0.9537 0.5000
0.5463 0.0463 0.5000
0.6481 0.1481 0.5000
0.7500 0.2500 0.5000
0.8519 0.3519 0.5000
0.9537 0.4537 0.5000
```

Main lines, sorted by position (2θ = 10–80°):
3.120 Å, I 100.0
2.709 Å, I 9.3
2.698 Å, I 18.5
1.912 Å, I 36.6
1.908 Å, I 18.5
1.633 Å, I 14.4
1.627 Å, I 29.2
1.240 Å, I 11.4